Entry 1:
This entry pairs a crystal structure of TaHgNO with its computed powder diffraction line list. Radiation: Cu Kα X-rays. Structure: the GGA-PBE geometry in OQMD.
Neutral-atom scattering factors, no anomalous dispersion.

Crystal structure
Cell lengths 6.079, 3.413, 7.849 Å; angles 90.00, 90.00, 90.00 degrees
Space group Pmma (No. 51)
Inequivalent atoms, fractional coordinates:
Ta 0.250 0.000 0.141 [2 per cell]
Hg 0.250 0.500 0.660 [2 per cell]
N 0.000 0.000 0.000 [2 per cell]
O 0.250 0.500 0.258 [2 per cell]

Largest 8 diffraction maxima, most intense first, 2θ from 10° to 80°:
hkl 1 0 2, 2θ 27.0, rel. 1000; hkl 1 1 1, 2θ 32.2, rel. 865; hkl 2 0 0, 2θ 29.4, rel. 472; hkl 0 1 1, 2θ 28.5, rel. 387; hkl 2 1 3, 2θ 53.4, rel. 342; hkl 0 1 3, 2θ 43.6, rel. 272; hkl 2 1 1, 2θ 41.4, rel. 226; hkl 3 1 1, 2θ 53.9, rel. 212

Entry 2:
This entry pairs a crystal structure of TbHgNO with its computed powder diffraction line list. Radiation: Cu Kα X-rays. Structure: the GGA-PBE geometry in OQMD.
Neutral-atom scattering factors, no anomalous dispersion.

Crystal structure
Cell lengths 6.541, 7.523, 6.364 Å; angles 90.00, 90.00, 90.00 degrees
Space group Pca2_1 (No. 29)
Inequivalent atoms, fractional coordinates:
Tb 0.082 0.119 0.000 [4 per cell]
Hg 0.236 0.604 0.809 [4 per cell]
N 0.041 0.610 0.549 [4 per cell]
O 0.130 0.062 0.663 [4 per cell]

Largest 8 diffraction maxima, most intense first, 2θ from 10° to 80°:
hkl 1 2 0, 2θ 27.3, rel. 1000; hkl 0 1 2, 2θ 30.5, rel. 537; hkl 2 0 2, 2θ 39.5, rel. 509; hkl 2 0 1, 2θ 30.8, rel. 464; hkl 2 1 0, 2θ 29.8, rel. 402; hkl 1 1 2, 2θ 33.5, rel. 366; hkl 1 1 1, 2θ 22.8, rel. 345; hkl 3 2 2, 2θ 56.7, rel. 337

Entry 3:
This entry pairs a crystal structure of TcHgNO with its computed powder diffraction line list. Radiation: Cu Kα X-rays. Structure: the GGA-PBE geometry in OQMD.
Neutral-atom scattering factors, no anomalous dispersion.

Crystal structure
Cell lengths 3.155, 5.787, 7.248 Å; angles 90.00, 90.00, 90.00 degrees
Space group Pmc2_1 (No. 26)
Inequivalent atoms, fractional coordinates:
Tc 0.000 0.070 0.000 [2 per cell]
Hg 0.500 0.356 0.462 [2 per cell]
N 0.500 0.246 0.023 [2 per cell]
O 0.000 0.048 0.740 [2 per cell]

Largest 8 diffraction maxima, most intense first, 2θ from 10° to 80°:
hkl 0 0 2, 2θ 24.6, rel. 1000; hkl 0 2 1, 2θ 33.3, rel. 824; hkl 1 1 1, 2θ 34.7, rel. 700; hkl 1 1 0, 2θ 32.3, rel. 644; hkl 1 1 2, 2θ 41.0, rel. 474; hkl 0 1 1, 2θ 19.6, rel. 394; hkl 2 2 1, 2θ 69.0, rel. 284; hkl 0 2 3, 2θ 49.1, rel. 246

Entry 4:
This entry pairs a crystal structure of YHgNO with its computed powder diffraction line list. Radiation: Cu Kα X-rays. Structure: the GGA-PBE geometry in OQMD.
Neutral-atom scattering factors, no anomalous dispersion.

Crystal structure
Cell lengths 6.502, 7.540, 6.263 Å; angles 90.00, 90.00, 90.00 degrees
Space group Pca2_1 (No. 29)
Inequivalent atoms, fractional coordinates:
Y 0.084 0.121 0.000 [4 per cell]
Hg 0.223 0.605 0.850 [4 per cell]
N 0.037 0.614 0.578 [4 per cell]
O 0.125 0.066 0.658 [4 per cell]

Largest 8 diffraction maxima, most intense first, 2θ from 10° to 80°:
hkl 1 2 0, 2θ 27.4, rel. 1000; hkl 0 1 2, 2θ 30.9, rel. 695; hkl 2 0 2, 2θ 39.9, rel. 565; hkl 2 1 0, 2θ 29.9, rel. 335; hkl 0 1 0, 2θ 11.7, rel. 330; hkl 1 1 2, 2θ 33.9, rel. 296; hkl 1 1 0, 2θ 18.0, rel. 271; hkl 1 3 2, 2θ 48.5, rel. 253

Entry 5:
This entry pairs a crystal structure of ZrHgNO with its computed powder diffraction line list. Radiation: Cu Kα X-rays. Structure: the GGA-PBE geometry in OQMD.
Neutral-atom scattering factors, no anomalous dispersion.

Crystal structure
Cell lengths 3.450, 7.097, 6.174 Å; angles 90.00, 90.00, 90.00 degrees
Space group Pmc2_1 (No. 26)
Inequivalent atoms, fractional coordinates:
Zr 0.000 0.163 0.000 [2 per cell]
Hg 0.500 0.362 0.447 [2 per cell]
N 0.500 0.320 0.043 [2 per cell]
O 0.000 0.053 0.704 [2 per cell]

Largest 8 diffraction maxima, most intense first, 2θ from 10° to 80°:
hkl 0 0 2, 2θ 29.0, rel. 1000; hkl 1 1 1, 2θ 32.3, rel. 668; hkl 1 1 0, 2θ 28.8, rel. 381; hkl 2 0 2, 2θ 61.6, rel. 243; hkl 1 0 2, 2θ 39.2, rel. 209; hkl 1 3 2, 2θ 55.7, rel. 209; hkl 1 3 0, 2θ 46.5, rel. 183; hkl 1 1 2, 2θ 41.3, rel. 181

Entry 6:
This entry pairs a crystal structure of Tb2HgN with its computed powder diffraction line list. Radiation: Cu Kα X-rays. Structure: the GGA-PBE geometry in OQMD.
Neutral-atom scattering factors, no anomalous dispersion.

Crystal structure
Cell lengths 3.7403, 3.7403, 7.7482 Å; angles 90.00, 90.00, 120.00 degrees
Space group P3m1 (No. 156)
Inequivalent atoms, fractional coordinates:
Tb 0.0000 0.0000 0.0000 [1 per cell]
Tb 0.3333 0.6667 0.6160 [1 per cell]
Hg 0.6667 0.3333 0.2982 [1 per cell]
N 0.0000 0.0000 0.7206 [1 per cell]

Largest 8 diffraction maxima, most intense first, 2θ from 10° to 80°:
hkl 1 0 1, 2θ 29.9, rel. 1000; hkl 0 1 2, 2θ 36.1, rel. 594; hkl 1 1 0, 2θ 48.7, rel. 279; hkl 1 1 3, 2θ 61.2, rel. 233; hkl 0 0 3, 2θ 34.7, rel. 197; hkl 0 2 1, 2θ 58.2, rel. 155; hkl 1 0 4, 2θ 55.3, rel. 155; hkl 2 1 1, 2θ 79.2, rel. 129

Entry 7:
This entry pairs a crystal structure of Na3Hg2 with its computed powder diffraction line list. Radiation: Cu Kα X-rays. Structure: the GGA-PBE geometry in OQMD.
Neutral-atom scattering factors, no anomalous dispersion.

Crystal structure
Cell lengths 8.653, 8.653, 7.299 Å; angles 90.00, 90.00, 90.00 degrees
Space group P4_2/mnm (No. 136)
Inequivalent atoms, fractional coordinates:
Na 0.000 0.500 0.000 [4 per cell]
Na 0.134 0.134 0.000 [4 per cell]
Na 0.180 0.180 0.500 [4 per cell]
Hg 0.139 0.861 0.294 [8 per cell]

Largest 8 diffraction maxima, most intense first, 2θ from 10° to 80°:
hkl 2 1 0, 2θ 23.0, rel. 1000; hkl 2 1 2, 2θ 33.8, rel. 943; hkl 1 1 0, 2θ 14.5, rel. 485; hkl 3 1 0, 2θ 32.7, rel. 436; hkl 4 0 2, 2θ 49.0, rel. 320; hkl 4 0 0, 2θ 41.8, rel. 223; hkl 5 2 2, 2θ 63.2, rel. 221; hkl 0 0 2, 2θ 24.4, rel. 218

Entry 8:
This entry pairs a crystal structure of Na8Hg3 with its computed powder diffraction line list. Radiation: Cu Kα X-rays. Structure: the GGA-PBE geometry in OQMD.
Neutral-atom scattering factors, no anomalous dispersion.

Crystal structure
Cell lengths 9.1162, 9.1162, 51.7505 Å; angles 90.00, 90.00, 120.00 degrees
Space group R-3c (No. 167, hexagonal axes)
Inequivalent atoms, fractional coordinates:
Na 0.0000 0.0000 0.0618 [12 per cell]
Na 0.0000 0.0000 0.2200 [12 per cell]
Na 0.0066 0.2580 0.1146 [36 per cell]
Na 0.0085 0.3651 0.8516 [36 per cell]
Hg 0.0000 0.0000 0.0000 [6 per cell]
Hg 0.0000 0.0000 0.1577 [12 per cell]
Hg 0.0000 0.3153 0.2500 [18 per cell]

Largest 8 diffraction maxima, most intense first, 2θ from 10° to 80°:
hkl 1 1 6, 2θ 22.1, rel. 1000; hkl 3 0 0, 2θ 34.1, rel. 604; hkl 1 1 3, 2θ 20.1, rel. 446; hkl 0 3 12, 2θ 40.1, rel. 393; hkl 0 0 12, 2θ 20.6, rel. 349; hkl 1 1 15, 2θ 32.5, rel. 342; hkl 1 1 18, 2θ 37.0, rel. 274; hkl 1 1 9, 2θ 24.9, rel. 222

Entry 9:
This entry pairs a crystal structure of NaHg2 with its computed powder diffraction line list. Radiation: Cu Kα X-rays. Structure: the GGA-PBE geometry in OQMD.
Neutral-atom scattering factors, no anomalous dispersion.

Crystal structure
Cell lengths 5.1595, 5.1595, 3.2775 Å; angles 90.00, 90.00, 120.00 degrees
Space group P6/mmm (No. 191)
Inequivalent atoms, fractional coordinates:
Na 0.0000 0.0000 0.0000 [1 per cell]
Hg 0.3333 0.6667 0.5000 [2 per cell]

Largest 8 diffraction maxima, most intense first, 2θ from 10° to 80°:
hkl 1 1 0, 2θ 34.8, rel. 1000; hkl 1 1 1, 2θ 44.7, rel. 790; hkl 1 0 0, 2θ 19.9, rel. 663; hkl 1 0 1, 2θ 33.9, rel. 597; hkl 0 0 1, 2θ 27.2, rel. 485; hkl 1 1 2, 2θ 67.7, rel. 294; hkl 3 0 1, 2θ 69.3, rel. 222; hkl 2 1 1, 2θ 61.8, rel. 214

Entry 10:
This entry pairs a crystal structure of Na3Hg2 with its computed powder diffraction line list. Radiation: Cu Kα X-rays. Structure: the GGA-PBE geometry in OQMD.
Neutral-atom scattering factors, no anomalous dispersion.

Crystal structure
Cell lengths 8.423, 8.423, 7.703 Å; angles 90.00, 90.00, 90.00 degrees
Space group P4_2/mnm (No. 136)
Inequivalent atoms, fractional coordinates:
Na 0.000 0.500 0.250 [4 per cell]
Na 0.141 0.141 0.000 [4 per cell]
Na 0.203 0.203 0.500 [4 per cell]
Hg 0.129 0.871 0.305 [8 per cell]

Largest 8 diffraction maxima, most intense first, 2θ from 10° to 80°:
hkl 2 1 0, 2θ 23.6, rel. 1000; hkl 2 1 2, 2θ 33.3, rel. 848; hkl 1 1 0, 2θ 14.9, rel. 683; hkl 3 1 0, 2θ 33.6, rel. 402; hkl 0 0 2, 2θ 23.1, rel. 324; hkl 1 0 3, 2θ 36.6, rel. 305; hkl 3 2 0, 2θ 38.5, rel. 298; hkl 1 0 1, 2θ 15.6, rel. 277

Entry 11:
This entry pairs a crystal structure of NaZrHg3O4 with its computed powder diffraction line list. Radiation: Cu Kα X-rays. Structure: the GGA-PBE geometry in OQMD.
Neutral-atom scattering factors, no anomalous dispersion.

Crystal structure
Cell lengths 5.944, 5.944, 5.944 Å; angles 90.00, 90.00, 90.00 degrees
Space group P-43m (No. 215)
Inequivalent atoms, fractional coordinates:
Na 0.000 0.000 0.000 [1 per cell]
Zr 0.500 0.500 0.500 [1 per cell]
Hg 0.000 0.500 0.500 [3 per cell]
O 0.302 0.302 0.302 [4 per cell]

Largest 8 diffraction maxima, most intense first, 2θ from 10° to 80°:
hkl 1 1 1, 2θ 26.0, rel. 1000; hkl 1 0 0, 2θ 14.9, rel. 833; hkl 2 0 0, 2θ 30.1, rel. 813; hkl 2 2 0, 2θ 43.0, rel. 809; hkl 3 1 1, 2θ 51.0, rel. 508; hkl 2 1 0, 2θ 33.7, rel. 348; hkl 4 2 0, 2θ 70.9, rel. 326; hkl 4 2 2, 2θ 78.9, rel. 258

Entry 12:
This entry pairs a crystal structure of Na2HgOsS4 with its computed powder diffraction line list. Radiation: Cu Kα X-rays. Structure: the GGA-PBE geometry in OQMD.
Neutral-atom scattering factors, no anomalous dispersion.

Crystal structure
Cell lengths 6.302, 6.302, 10.696 Å; angles 90.00, 90.00, 90.00 degrees
Space group I-4 (No. 82)
Inequivalent atoms, fractional coordinates:
Na 0.000 0.000 0.000 [2 per cell]
Na 0.000 0.500 0.250 [2 per cell]
Hg 0.000 0.500 0.750 [2 per cell]
Os 0.000 0.000 0.500 [2 per cell]
S 0.201 0.217 0.612 [8 per cell]

Largest 8 diffraction maxima, most intense first, 2θ from 10° to 80°:
hkl 1 1 2, 2θ 26.0, rel. 1000; hkl 1 0 1, 2θ 16.3, rel. 966; hkl 1 3 2, 2θ 48.8, rel. 345; hkl 2 0 4, 2θ 44.4, rel. 338; hkl 2 1 1, 2θ 32.9, rel. 268; hkl 2 2 0, 2θ 40.5, rel. 214; hkl 1 2 3, 2θ 40.8, rel. 199; hkl 2 0 0, 2θ 28.3, rel. 195

Entry 13:
This entry pairs a crystal structure of Na2HgPbSe4 with its computed powder diffraction line list. Radiation: Cu Kα X-rays. Structure: the GGA-PBE geometry in OQMD.
Neutral-atom scattering factors, no anomalous dispersion.

Crystal structure
Cell lengths 9.835, 10.510, 6.954 Å; angles 90.00, 134.96, 90.00 degrees
Space group C2 (No. 5)
Inequivalent atoms, fractional coordinates:
Na 0.000 0.000 0.000 [2 per cell]
Na 0.000 0.249 0.500 [2 per cell]
Hg 0.000 0.750 0.500 [2 per cell]
Pb 0.000 0.500 0.000 [2 per cell]
Se 0.221 0.630 0.978 [4 per cell]
Se 0.242 0.370 0.463 [4 per cell]

Largest 8 diffraction maxima, most intense first, 2θ from 10° to 80°:
hkl 0 2 1, 2θ 24.8, rel. 1000; hkl 1 1 -1, 2θ 15.3, rel. 766; hkl 2 4 0, 2θ 43.1, rel. 437; hkl 4 2 -1, 2θ 44.7, rel. 401; hkl 0 0 2, 2θ 36.5, rel. 340; hkl 3 1 -1, 2θ 30.0, rel. 216; hkl 6 4 -2, 2θ 70.3, rel. 183; hkl 3 3 -2, 2θ 38.7, rel. 172